Record 1
This entry pairs a crystal structure of Pr3Ga4Pt4 with its calculated powder diffraction line list. Radiation: Cu Ka. Structure: a DFT-relaxed cell (GGA-PBE, Alexandria).
Neutral-atom scattering factors, no anomalous dispersion.

Main lines, by angle (10° ≤ 2θ ≤ 90°):
hkl 1 1 2, 30.75 deg, intensity 90
hkl 1 0 7, 32.48 deg, intensity 100
hkl 1 1 4, 32.98 deg, intensity 91
hkl 0 1 9, 36.86 deg, intensity 37
hkl 0 2 0, 40.94 deg, intensity 60
hkl 0 1 11, 42.97 deg, intensity 58
hkl 2 0 0, 44.78 deg, intensity 46
hkl 1 2 7, 53.21 deg, intensity 51
hkl 2 2 0, 62.28 deg, intensity 35
hkl 2 1 11, 63.80 deg, intensity 36

Structural model:
```
data_Pr3Ga4Pt4
_symmetry_space_group_name_H-M 'I m m m'
_symmetry_Int_Tables_number 71
_symmetry_space_group_name_Hall '-I 2 2'
_cell_length_a 4.0480
_cell_length_b 4.4084
_cell_length_c 26.3479
_cell_angle_alpha 90.00
_cell_angle_beta 90.00
_cell_angle_gamma 90.00
loop_
_atom_site_label
_atom_site_fract_x
_atom_site_fract_y
_atom_site_fract_z
Pr1 0.0000 0.0000 0.0000
Pr2 0.0000 0.5000 0.1466
Ga1 0.0000 0.0000 0.2530
Ga2 0.0000 0.5000 0.4015
Pt1 0.0000 0.0000 0.4479
Pt2 0.0000 0.5000 0.3058
```

Record 2
This entry pairs a crystal structure of NpSi2Os4 with its calculated powder diffraction line list. Radiation: Cu Ka. Structure: a DFT-relaxed cell (GGA-PBE, Alexandria).
Neutral-atom scattering factors, no anomalous dispersion.

Main lines, by angle (10° ≤ 2θ ≤ 90°):
hkl 1 1 1, 28.41 deg, intensity 22
hkl 2 1 1, 35.23 deg, intensity 100
hkl 3 1 0, 37.73 deg, intensity 50
hkl 2 2 1, 41.05 deg, intensity 45
hkl 3 1 1, 44.58 deg, intensity 32
hkl 0 0 2, 46.71 deg, intensity 25
hkl 4 1 0, 49.87 deg, intensity 18
hkl 3 1 2, 61.53 deg, intensity 28
hkl 5 0 1, 66.51 deg, intensity 24
hkl 4 1 2, 70.71 deg, intensity 15

Structural model:
```
data_NpSi2Os4
_symmetry_space_group_name_H-M 'P 42/m n m'
_symmetry_Int_Tables_number 136
_symmetry_space_group_name_Hall '-P 4n 2n'
_cell_length_a 7.5394
_cell_length_b 7.5394
_cell_length_c 3.8892
_cell_angle_alpha 90.00
_cell_angle_beta 90.00
_cell_angle_gamma 90.00
loop_
_atom_site_label
_atom_site_fract_x
_atom_site_fract_y
_atom_site_fract_z
Np1 0.0000 0.0000 0.0000
Si1 0.2193 0.2193 0.5000
Os1 0.0792 0.6601 0.5000
```